For Ta5Ga4, a crystal structure in Alexandria, relaxed with PBE gives the calculated XRD peak list in this record (a wavelength of 1.5418 Å).
Kinematic intensities with the Lorentz-polarization factor, no thermal factor.

```
Ta5Ga4
1.0
-4.614 4.614 1.836
4.614 -4.614 1.836
4.614 4.614 -1.836
Ta Ga
5 4
Cartesian
0.000 0.000 0.000
3.043 3.043 0.000
1.572 -1.572 1.836
-1.572 1.572 1.836
1.572 1.572 1.836
2.950 0.000 0.000
6.279 0.000 0.000
0.000 2.950 0.000
0.000 6.279 0.000
```

Principal peaks in the range 10° ≤ 2θ ≤ 90°, most intense first:
2θ/deg, I (rel.)
38.17, 100
41.52, 39
73.51, 29
13.57, 20
66.67, 20
60.16, 13
49.66, 12
81.67, 11
85.37, 10
32.64, 9